KHoNiF6: computed powder X-ray diffraction pattern (Cu Kα X-rays), based on a crystal structure in Alexandria, relaxed with GGA+U.
No peak broadening, texture or thermal motion is included.

Cell and atoms:
Cell lengths 7.593, 8.082, 10.894 Å; angles 90.00, 90.00, 90.00 degrees
Space group Imma (No. 74)
Unique sites:
K: 0.000 0.250 0.029 (multiplicity 4)
Ho: 0.000 0.000 0.500 (multiplicity 4)
Ni: 0.250 0.250 0.750 (multiplicity 4)
F: 0.000 0.250 0.420 (multiplicity 4)
F: 0.000 0.250 0.794 (multiplicity 4)
F: 0.218 0.074 0.616 (multiplicity 16)

Most intense lines, 5 to 70 degrees two-theta, in order of rising 2θ:
| Position (°2θ) | I (rel.) | h k l |
| --- | --- | --- |
| 13.64 | 471 | 0 1 1 |
| 14.22 | 1000 | 1 0 1 |
| 16.27 | 338 | 0 0 2 |
| 26.29 | 891 | 1 2 1 |
| 27.22 | 340 | 1 0 3 |
| 27.48 | 409 | 0 2 2 |
| 28.66 | 579 | 2 0 2 |
| 35.27 | 324 | 1 2 3 |
| 46.80 | 267 | 2 2 4 |
| 54.11 | 211 | 2 4 2 |